(1)
TlSiAg: computed X-ray powder pattern (Cu Kα), based on a crystal structure in Alexandria, relaxed with GGA-PBE.

Structure:
Cell lengths 5.678, 3.750, 6.981 Å; angles 90.00, 113.64, 90.00 degrees
Positions (direct):
Tl: 0.221 0.000 0.442
Tl: 0.779 0.500 0.558
Si: 0.125 0.249 0.001
Si: 0.875 0.749 0.999
Ag: 0.411 0.501 0.822
Ag: 0.589 0.001 0.178

The 12 most intense peaks (2θ from 10° to 90°), by angle:
d (Å), 2θ/deg, I (rel.)
6.395, 13.85, 63.9
3.235, 27.57, 72.5
3.039, 29.39, 77.0
2.839, 31.51, 83.9
2.527, 35.53, 100.0
2.518, 35.65, 99.4
2.338, 38.51, 40.2
2.327, 38.70, 39.9
2.137, 42.29, 23.5
2.131, 42.42, 36.9
1.574, 58.66, 23.4
1.565, 59.04, 27.7

=====

(2)
Tm4Cd5Hg6: computed X-ray powder pattern (Cu Kα), based on a crystal structure in Alexandria, relaxed with GGA-PBE.

Structure:
Cell lengths 12.253, 12.253, 15.964 Å; angles 90.00, 90.00, 162.31 degrees
Positions (direct):
Tm: 0.022 0.978 0.500
Tm: 0.057 0.943 0.773
Tm: 0.129 0.871 0.272
Tm: 0.182 0.818 0.931
Tm: 0.818 0.182 0.431
Tm: 0.871 0.129 0.772
Tm: 0.943 0.057 0.273
Tm: 0.978 0.022 0.000
Cd: 0.179 0.821 0.613
Cd: 0.303 0.697 0.600
Cd: 0.333 0.667 0.268
Cd: 0.370 0.630 0.952
Cd: 0.469 0.531 0.664
Cd: 0.531 0.469 0.164
Cd: 0.630 0.370 0.452
Cd: 0.667 0.333 0.768
Cd: 0.697 0.303 0.100
Cd: 0.821 0.179 0.113
Hg: 0.102 0.898 0.077
Hg: 0.221 0.779 0.436
Hg: 0.267 0.733 0.773
Hg: 0.415 0.585 0.123
Hg: 0.422 0.578 0.425
Hg: 0.464 0.536 0.843
Hg: 0.536 0.464 0.343
Hg: 0.578 0.422 0.925
Hg: 0.585 0.415 0.623
Hg: 0.733 0.267 0.273
Hg: 0.779 0.221 0.936
Hg: 0.898 0.102 0.577

The 12 most intense peaks (2θ from 10° to 90°), by angle:
d (Å), 2θ/deg, I (rel.)
3.339, 26.70, 19.3
2.924, 30.57, 21.3
2.787, 32.12, 32.7
2.723, 32.90, 28.0
2.661, 33.69, 25.1
2.596, 34.55, 100.0
2.517, 35.68, 19.6
2.394, 37.57, 34.0
2.385, 37.72, 30.6
2.298, 39.19, 19.8
1.884, 48.30, 28.0
1.481, 62.76, 17.7

=====

(3)
LaTb5Tm2: computed X-ray powder pattern (Cu Kα), based on a crystal structure in Alexandria, relaxed with GGA-PBE.

Structure:
Cell lengths 7.253, 11.407, 7.254 Å; angles 90.00, 119.99, 90.00 degrees
Positions (direct):
La: 0.000 0.000 0.000
La: 0.500 0.500 0.000
Tb: 0.000 0.000 0.497
Tb: 0.166 0.250 0.831
Tb: 0.166 0.750 0.831
Tb: 0.498 0.000 0.497
Tb: 0.498 0.000 0.994
Tb: 0.500 0.500 0.497
Tb: 0.666 0.250 0.831
Tb: 0.666 0.750 0.831
Tb: 0.998 0.500 0.497
Tb: 0.998 0.500 0.994
Tm: 0.166 0.253 0.330
Tm: 0.166 0.747 0.330
Tm: 0.666 0.247 0.330
Tm: 0.666 0.753 0.330

The 12 most intense peaks (2θ from 10° to 90°), by angle:
d (Å), 2θ/deg, I (rel.)
3.141, 28.41, 23.8
2.852, 31.37, 24.5
2.751, 32.54, 100.0
2.111, 42.83, 15.7
1.814, 50.31, 19.7
1.626, 56.59, 20.8
1.530, 60.50, 22.6
1.514, 61.21, 16.4
1.211, 79.09, 7.9
1.162, 83.10, 14.0
1.121, 86.90, 8.4
1.096, 89.40, 4.0

=====

(4)
Ac2Sm2Tl3: computed X-ray powder pattern (Cu Kα), based on a crystal structure in Alexandria, relaxed with GGA-PBE.

Structure:
Cell lengths 4.622, 26.676, 3.769 Å; angles 90.00, 90.00, 90.00 degrees
Positions (direct):
Ac: 0.000 0.075 0.000
Ac: 0.000 0.925 0.000
Ac: 0.500 0.425 0.000
Ac: 0.500 0.575 0.000
Sm: 0.000 0.205 0.000
Sm: 0.000 0.795 0.000
Sm: 0.500 0.295 0.000
Sm: 0.500 0.705 0.000
Tl: 0.000 0.344 0.500
Tl: 0.000 0.500 0.500
Tl: 0.000 0.656 0.500
Tl: 0.500 0.000 0.500
Tl: 0.500 0.156 0.500
Tl: 0.500 0.844 0.500

The 12 most intense peaks (2θ from 10° to 90°), by angle:
d (Å), 2θ/deg, I (rel.)
2.940, 30.40, 99.1
2.904, 30.79, 100.0
2.875, 31.11, 52.9
2.775, 32.26, 13.0
2.497, 35.96, 24.6
2.311, 38.97, 29.6
1.885, 48.29, 16.2
1.801, 50.68, 27.9
1.696, 54.06, 15.4
1.679, 54.66, 19.0
1.587, 58.15, 36.7
1.461, 63.71, 14.3

=====

(5)
Ac3Cd2As4Pd2: computed X-ray powder pattern (Cu Kα), based on a crystal structure in Alexandria, relaxed with GGA-PBE.

Structure:
Cell lengths 4.553, 4.553, 15.658 Å; angles 90.00, 90.00, 120.00 degrees
Positions (direct):
Ac: 0.000 0.000 0.000
Ac: 0.000 0.000 0.259
Ac: 0.000 0.000 0.741
Cd: 0.333 0.667 0.565
Cd: 0.667 0.333 0.435
As: 0.333 0.667 0.384
As: 0.333 0.667 0.867
As: 0.667 0.333 0.133
As: 0.667 0.333 0.616
Pd: 0.333 0.667 0.133
Pd: 0.667 0.333 0.867

The 12 most intense peaks (2θ from 10° to 90°), by angle:
d (Å), 2θ/deg, I (rel.)
3.943, 22.55, 10.5
3.824, 23.26, 15.0
3.522, 25.29, 18.3
3.146, 28.37, 30.7
2.778, 32.22, 100.0
2.277, 39.58, 66.6
2.237, 40.32, 8.1
1.761, 51.93, 26.5
1.596, 57.78, 16.9
1.484, 62.59, 15.6
1.393, 67.21, 24.5
1.314, 71.82, 11.5

=====

(6)
Li2NpGeS4: computed X-ray powder pattern (Cu Kα), based on a crystal structure in Alexandria, relaxed with GGA-PBE.

Structure:
Cell lengths 6.427, 3.884, 6.788 Å; angles 90.00, 110.00, 90.00 degrees
Positions (direct):
Li: 0.000 0.000 0.000
Li: 0.000 0.500 0.500
Np: 0.500 0.000 0.500
Ge: 0.500 0.500 0.000
S: 0.252 0.500 0.251
S: 0.256 0.000 0.744
S: 0.744 0.000 0.256
S: 0.748 0.500 0.749

The 12 most intense peaks (2θ from 10° to 90°), by angle:
d (Å), 2θ/deg, I (rel.)
6.379, 13.88, 30.3
6.039, 14.67, 100.0
5.404, 16.40, 20.3
3.321, 26.84, 71.7
3.187, 28.00, 13.3
3.154, 28.30, 15.5
2.711, 33.04, 65.7
2.702, 33.15, 32.5
2.462, 36.49, 26.6
2.058, 43.99, 13.5
1.955, 46.45, 24.7
1.875, 48.55, 21.6